For PmNi3H3, the PBE geometry in Alexandria gives the computed powder XRD pattern in this record (Cu Kα (λ = 1.5418 Å)).
No peak broadening, texture or thermal motion is included.

Most intense lines, 10 to 90 degrees two-theta, most intense first:
2θ = 35.72°, intensity 100
2θ = 41.48°, intensity 47
2θ = 29.00°, intensity 41
2θ = 17.64°, intensity 31
2θ = 46.65°, intensity 25
2θ = 68.10°, intensity 21
2θ = 64.17°, intensity 21
2θ = 54.78°, intensity 21
2θ = 60.11°, intensity 19
2θ = 71.93°, intensity 18

Structure:
```
data_PmNi3H3
_space_group_name_H-M_alt 'P 1'
_space_group_IT_number 1
_cell_length_a 6.1572
_cell_length_b 6.1572
_cell_length_c 6.1572
_cell_angle_alpha 60.00
_cell_angle_beta 60.00
_cell_angle_gamma 60.00
loop_
_space_group_symop_operation_xyz
'x,y,z'
loop_
_atom_site_label
_atom_site_type_symbol
_atom_site_fract_x
_atom_site_fract_y
_atom_site_fract_z
_atom_site_occupancy
Pm1 Pm 0.2500 0.2500 0.2500 1
Pm2 Pm 0.7500 0.7500 0.7500 1
Ni1 Ni 0.1916 0.1916 0.8084 1
Ni2 Ni 0.1916 0.8084 0.1916 1
Ni3 Ni 0.1916 0.8084 0.8084 1
Ni4 Ni 0.8084 0.1916 0.1916 1
Ni5 Ni 0.8084 0.1916 0.8084 1
Ni6 Ni 0.8084 0.8084 0.1916 1
H1 H 0.3606 0.3606 0.6394 1
H2 H 0.3606 0.6394 0.3606 1
H3 H 0.3606 0.6394 0.6394 1
H4 H 0.6394 0.3606 0.3606 1
H5 H 0.6394 0.3606 0.6394 1
H6 H 0.6394 0.6394 0.3606 1
```

***

For Sm3Al8Cu3, the PBE geometry in Alexandria gives the computed powder XRD pattern in this record (Cu Kα (λ = 1.5418 Å)).
No peak broadening, texture or thermal motion is included.

Most intense lines, 10 to 90 degrees two-theta, most intense first:
2θ = 34.98°, intensity 100
2θ = 35.16°, intensity 64
2θ = 29.49°, intensity 62
2θ = 18.58°, intensity 44
2θ = 41.64°, intensity 37
2θ = 22.51°, intensity 30
2θ = 37.69°, intensity 19
2θ = 36.37°, intensity 17
2θ = 35.40°, intensity 17
2θ = 42.74°, intensity 16

Structure:
```
data_Sm3Al8Cu3
_space_group_name_H-M_alt 'P 1'
_space_group_IT_number 1
_cell_length_a 8.2089
_cell_length_b 8.2089
_cell_length_c 9.5525
_cell_angle_alpha 125.21
_cell_angle_beta 125.21
_cell_angle_gamma 30.64
loop_
_space_group_symop_operation_xyz
'x,y,z'
loop_
_atom_site_label
_atom_site_type_symbol
_atom_site_fract_x
_atom_site_fract_y
_atom_site_fract_z
_atom_site_occupancy
Sm1 Sm 0.0000 0.0000 0.0000 1
Sm2 Sm 0.2998 0.2998 0.3042 1
Sm3 Sm 0.7002 0.7002 0.6958 1
Al1 Al 0.1358 0.1358 0.8521 1
Al2 Al 0.1449 0.1449 0.4205 1
Al3 Al 0.3436 0.3436 0.9633 1
Al4 Al 0.4976 0.4976 0.6922 1
Al5 Al 0.5024 0.5024 0.3078 1
Al6 Al 0.6564 0.6564 0.0367 1
Al7 Al 0.8551 0.8551 0.5795 1
Al8 Al 0.8642 0.8642 0.1479 1
Cu1 Cu 0.0000 0.0000 0.5000 1
Cu2 Cu 0.3436 0.3436 0.7006 1
Cu3 Cu 0.6564 0.6564 0.2994 1
```

***

For Ca2YWN4, the PBE geometry in Alexandria gives the computed powder XRD pattern in this record (Cu Kα (λ = 1.5418 Å)).
No peak broadening, texture or thermal motion is included.

Most intense lines, 10 to 90 degrees two-theta, most intense first:
2θ = 31.97°, intensity 100
2θ = 31.60°, intensity 61
2θ = 26.84°, intensity 55
2θ = 21.57°, intensity 55
2θ = 34.49°, intensity 43
2θ = 46.88°, intensity 38
2θ = 13.12°, intensity 35
2θ = 60.19°, intensity 33
2θ = 59.49°, intensity 31
2θ = 23.32°, intensity 29

Structure:
```
data_Ca2YWN4
_space_group_name_H-M_alt 'P 1'
_space_group_IT_number 1
_cell_length_a 7.6301
_cell_length_b 6.7495
_cell_length_c 5.2007
_cell_angle_alpha 90.00
_cell_angle_beta 90.00
_cell_angle_gamma 90.00
loop_
_space_group_symop_operation_xyz
'x,y,z'
loop_
_atom_site_label
_atom_site_type_symbol
_atom_site_fract_x
_atom_site_fract_y
_atom_site_fract_z
_atom_site_occupancy
Ca1 Ca 0.2475 0.1585 0.0000 1
Ca2 Ca 0.2525 0.8415 0.5000 1
Ca3 Ca 0.7475 0.8415 0.5000 1
Ca4 Ca 0.7525 0.1585 0.0000 1
Y1 Y 0.0000 0.6638 0.0034 1
Y2 Y 0.5000 0.3362 0.5034 1
W1 W 0.0000 0.3405 0.5426 1
W2 W 0.5000 0.6595 0.0426 1
N1 N 0.0000 0.3463 0.9013 1
N2 N 0.0000 0.6199 0.4602 1
N3 N 0.2144 0.2054 0.4679 1
N4 N 0.2856 0.7946 0.9679 1
N5 N 0.5000 0.3801 0.9602 1
N6 N 0.5000 0.6537 0.4013 1
N7 N 0.7144 0.7946 0.9679 1
N8 N 0.7856 0.2054 0.4679 1
```

***

For Pm5TmPb3, the PBE geometry in Alexandria gives the computed powder XRD pattern in this record (Cu Kα (λ = 1.5418 Å)).
No peak broadening, texture or thermal motion is included.

Most intense lines, 10 to 90 degrees two-theta, most intense first:
2θ = 32.03°, intensity 100
2θ = 32.37°, intensity 83
2θ = 57.31°, intensity 33
2θ = 46.18°, intensity 31
2θ = 64.59°, intensity 27
2θ = 57.09°, intensity 20
2θ = 42.00°, intensity 15
2θ = 76.37°, intensity 14
2θ = 82.84°, intensity 14
2θ = 66.98°, intensity 12

Structure:
```
data_Pm5TmPb3
_space_group_name_H-M_alt 'P 1'
_space_group_IT_number 1
_cell_length_a 9.6792
_cell_length_b 9.6792
_cell_length_c 6.7402
_cell_angle_alpha 90.00
_cell_angle_beta 90.00
_cell_angle_gamma 120.00
loop_
_space_group_symop_operation_xyz
'x,y,z'
loop_
_atom_site_label
_atom_site_type_symbol
_atom_site_fract_x
_atom_site_fract_y
_atom_site_fract_z
_atom_site_occupancy
Pm1 Pm 0.0000 0.3265 0.2500 1
Pm2 Pm 0.0000 0.6735 0.7500 1
Pm3 Pm 0.3265 0.0000 0.2500 1
Pm4 Pm 0.3265 0.3265 0.7500 1
Pm5 Pm 0.3333 0.6667 0.0000 1
Pm6 Pm 0.3333 0.6667 0.5000 1
Pm7 Pm 0.6667 0.3333 0.0000 1
Pm8 Pm 0.6667 0.3333 0.5000 1
Pm9 Pm 0.6735 0.0000 0.7500 1
Pm10 Pm 0.6735 0.6735 0.2500 1
Tm1 Tm 0.0000 0.0000 0.0000 1
Tm2 Tm 0.0000 0.0000 0.5000 1
Pb1 Pb 0.0000 0.3378 0.7500 1
Pb2 Pb 0.0000 0.6622 0.2500 1
Pb3 Pb 0.3378 0.0000 0.7500 1
Pb4 Pb 0.3378 0.3378 0.2500 1
Pb5 Pb 0.6622 0.0000 0.2500 1
Pb6 Pb 0.6622 0.6622 0.7500 1
```